# Sr7Y6OF30
Simulated XRD peak list, Cu Kα, 1.54184 Å. Input: the GGA-PBE geometry in Alexandria.

Cell and atoms:
Cell: 9.1108 9.1108 9.1108 Å, 107.45 107.45 107.45°
Sites, in units of the cell vectors:
Sr1 0.0000 0.0000 0.0000
Sr2 0.0555 0.2013 0.6459
Sr3 0.2013 0.6459 0.0555
Sr4 0.2815 0.8689 0.7309
Sr5 0.6459 0.0555 0.2013
Sr6 0.7309 0.2815 0.8689
Sr7 0.8689 0.7309 0.2815
Y1 0.0945 0.4256 0.3457
Y2 0.3457 0.0945 0.4256
Y3 0.4256 0.3457 0.0945
Y4 0.5294 0.5996 0.8091
Y5 0.5996 0.8091 0.5294
Y6 0.8091 0.5294 0.5996
O1 0.5883 0.5883 0.5883
F1 0.0208 0.6211 0.4868
F2 0.0609 0.7557 0.8347
F3 0.1084 0.8679 0.1924
F4 0.1438 0.1956 0.3549
F5 0.1503 0.9753 0.5174
F6 0.1924 0.1084 0.8679
F7 0.1956 0.3549 0.1438
F8 0.2559 0.5179 0.6272
F9 0.3035 0.4420 0.9102
F10 0.3041 0.6775 0.4170
F11 0.3549 0.1438 0.1956
F12 0.4105 0.7814 0.9624
F13 0.4170 0.3041 0.6775
F14 0.4420 0.9102 0.3035
F15 0.4868 0.0208 0.6211
F16 0.5174 0.1503 0.9753
F17 0.5179 0.6272 0.2559
F18 0.5605 0.8466 0.7758
F19 0.6211 0.4868 0.0208
F20 0.6272 0.2559 0.5179
F21 0.6775 0.4170 0.3041
F22 0.7557 0.8347 0.0609
F23 0.7758 0.5605 0.8466
F24 0.7814 0.9624 0.4105
F25 0.8347 0.0609 0.7557
F26 0.8466 0.7758 0.5605
F27 0.8679 0.1924 0.1084
F28 0.9102 0.3035 0.4420
F29 0.9624 0.4105 0.7814
F30 0.9753 0.5174 0.1503

Most intense lines, 2θ = 10–80°, sorted by position:
2θ 26.80, 3.327 Å, intensity 100
2θ 31.04, 2.881 Å, intensity 33
2θ 40.50, 2.227 Å, intensity 3
2θ 42.40, 2.132 Å, intensity 3
2θ 44.47, 2.037 Å, intensity 72
2θ 52.68, 1.737 Å, intensity 51
2θ 55.22, 1.663 Å, intensity 8
2θ 64.71, 1.441 Å, intensity 8
2θ 71.34, 1.322 Å, intensity 16
2θ 73.50, 1.289 Å, intensity 7